This entry pairs a crystal structure of ZrSn with its simulated powder diffraction line list. Radiation: Cu Kα. Structure: DFT lattice parameters and positions (GGA-PBE).
Peak positions follow from Bragg's law for the DFT cell and can differ from measured ones.

Crystal structure
abc: 3.1367 5.1146 12.4261
angles: 90.00 90.00 90.00
Atoms (fractional coordinates):
Zr 0.2500 0.2500 0.0372
Zr 0.2500 0.7500 0.2063
Zr 0.7500 0.2500 0.7937
Zr 0.7500 0.7500 0.9628
Sn 0.2500 0.2500 0.5667
Sn 0.2500 0.7500 0.7409
Sn 0.7500 0.2500 0.2591
Sn 0.7500 0.7500 0.4333

Top 10 peaks for 10 to 80 degrees two-theta, low angle first:
2θ/deg	I (rel.)
28.74	15
31.96	21
33.76	44
35.09	39
36.59	100
48.19	13
52.98	11
63.93	20
65.15	12
69.64	12

***

This entry pairs a crystal structure of U2CuGe2O18 with its simulated powder diffraction line list. Radiation: Cu Kα. Structure: DFT lattice parameters and positions (GGA-PBE).
Peak positions follow from Bragg's law for the DFT cell and can differ from measured ones.

Crystal structure
abc: 8.7922 8.7922 6.9513
angles: 112.74 112.74 46.59
Atoms (fractional coordinates):
U 0.2449 0.2449 0.1338
U 0.7551 0.7551 0.8662
Cu 0.0000 0.0000 0.0000
Ge 0.2992 0.2992 0.7157
Ge 0.7008 0.7008 0.2843
O 0.0463 0.0463 0.4333
O 0.0784 0.4429 0.8377
O 0.1126 0.1126 0.9943
O 0.1504 0.8496 0.5000
O 0.2376 0.2376 0.4393
O 0.2676 0.7324 0.0000
O 0.3691 0.3691 0.2580
O 0.4197 0.4197 0.7803
O 0.4429 0.0784 0.8377
O 0.5571 0.9216 0.1623
O 0.5803 0.5803 0.2197
O 0.6309 0.6309 0.7420
O 0.7324 0.2676 0.0000
O 0.7624 0.7624 0.5607
O 0.8496 0.1504 0.5000
O 0.8874 0.8874 0.0057
O 0.9216 0.5571 0.1623
O 0.9537 0.9537 0.5667

Top 10 peaks for 10 to 80 degrees two-theta, low angle first:
2θ/deg	I (rel.)
12.08	100
14.05	40
18.04	21
24.30	40
25.62	52
28.42	28
29.32	58
29.43	30
34.34	21
47.55	28

***

This entry pairs a crystal structure of VGaTc2 with its simulated powder diffraction line list. Radiation: Cu Kα. Structure: DFT lattice parameters and positions (GGA-PBE).
Peak positions follow from Bragg's law for the DFT cell and can differ from measured ones.

Crystal structure
abc: 6.0929 6.0929 6.0929
angles: 90.00 90.00 90.00
Atoms (fractional coordinates):
V 0.0000 0.0000 0.0000
V 0.0000 0.5000 0.5000
V 0.5000 0.0000 0.5000
V 0.5000 0.5000 0.0000
Ga 0.0000 0.0000 0.5000
Ga 0.0000 0.5000 0.0000
Ga 0.5000 0.0000 0.0000
Ga 0.5000 0.5000 0.5000
Tc 0.2500 0.2500 0.2500
Tc 0.2500 0.2500 0.7500
Tc 0.2500 0.7500 0.2500
Tc 0.2500 0.7500 0.7500
Tc 0.7500 0.2500 0.2500
Tc 0.7500 0.2500 0.7500
Tc 0.7500 0.7500 0.2500
Tc 0.7500 0.7500 0.7500

Top 8 peaks for 10 to 80 degrees two-theta, low angle first:
2θ/deg	I (rel.)
25.32	1
29.32	8
41.94	100
49.62	1
51.99	2
60.81	16
68.92	3
76.61	32

***

This entry pairs a crystal structure of BaNa2MgP2O8 with its simulated powder diffraction line list. Radiation: Cu Kα. Structure: DFT lattice parameters and positions (GGA-PBE).
Peak positions follow from Bragg's law for the DFT cell and can differ from measured ones.

Crystal structure
abc: 5.3838 5.3838 7.0634
angles: 90.00 90.00 120.00
Atoms (fractional coordinates):
Ba 0.0000 0.0000 0.0000
Na 0.3333 0.6667 0.6809
Na 0.6667 0.3333 0.3191
Mg 0.0000 0.0000 0.5000
P 0.3333 0.6667 0.2432
P 0.6667 0.3333 0.7568
O 0.1771 0.3541 0.3213
O 0.1771 0.8229 0.3213
O 0.3333 0.6667 0.0254
O 0.3541 0.1771 0.6787
O 0.6459 0.8229 0.3213
O 0.6667 0.3333 0.9746
O 0.8229 0.1771 0.6787
O 0.8229 0.6459 0.6787

Top 10 peaks for 10 to 80 degrees two-theta, low angle first:
2θ/deg	I (rel.)
12.53	25
19.03	44
22.85	79
31.79	100
33.28	96
35.69	39
40.76	26
46.69	58
58.54	31
62.95	22

***

This entry pairs a crystal structure of AlSBr3N with its simulated powder diffraction line list. Radiation: Cu Kα. Structure: DFT lattice parameters and positions (GGA-PBE).
Peak positions follow from Bragg's law for the DFT cell and can differ from measured ones.

Crystal structure
abc: 7.5528 10.8422 10.2244
angles: 90.00 112.45 90.00
Atoms (fractional coordinates):
Al 0.2258 0.1234 0.3421
Al 0.2258 0.3766 0.8421
Al 0.7742 0.6234 0.1579
Al 0.7742 0.8766 0.6579
S 0.1380 0.5280 0.1088
S 0.1380 0.9720 0.6088
S 0.8620 0.0280 0.3912
S 0.8620 0.4720 0.8912
Br 0.0638 0.6541 0.3473
Br 0.0638 0.8459 0.8473
Br 0.3667 0.1977 0.9460
Br 0.3667 0.3023 0.4460
Br 0.4140 0.5210 0.7911
Br 0.4140 0.9790 0.2911
Br 0.5860 0.0210 0.7089
Br 0.5860 0.4790 0.2089
Br 0.6333 0.6977 0.5540
Br 0.6333 0.8023 0.0540
Br 0.9362 0.1541 0.1527
Br 0.9362 0.3459 0.6527
N 0.0988 0.0417 0.4540
N 0.0988 0.4583 0.9540
N 0.9012 0.5417 0.0460
N 0.9012 0.9583 0.5460

Top 10 peaks for 10 to 80 degrees two-theta, low angle first:
2θ/deg	I (rel.)
20.68	52
24.57	100
24.76	45
24.99	62
26.40	79
26.58	66
26.83	42
27.50	77
27.78	64
39.26	35

***

This entry pairs a crystal structure of Ce4Bi3 with its simulated powder diffraction line list. Radiation: Cu Kα. Structure: DFT lattice parameters and positions (GGA-PBE).
Peak positions follow from Bragg's law for the DFT cell and can differ from measured ones.

Crystal structure
abc: 8.4127 8.4127 8.4127
angles: 109.47 109.47 109.47
Atoms (fractional coordinates):
Ce 0.0000 0.3510 0.5000
Ce 0.0000 0.8510 0.5000
Ce 0.1490 0.1490 0.1490
Ce 0.3510 0.5000 0.0000
Ce 0.5000 0.0000 0.3510
Ce 0.5000 0.0000 0.8510
Ce 0.6490 0.6490 0.6490
Ce 0.8510 0.5000 0.0000
Bi 0.1250 0.7500 0.8750
Bi 0.2500 0.6250 0.3750
Bi 0.3750 0.2500 0.6250
Bi 0.6250 0.3750 0.2500
Bi 0.7500 0.8750 0.1250
Bi 0.8750 0.1250 0.7500

Top 10 peaks for 10 to 80 degrees two-theta, low angle first:
2θ/deg	I (rel.)
22.42	15
29.07	100
34.55	69
41.58	21
43.71	15
45.76	13
47.74	18
58.58	32
61.90	16
71.35	20

***

Copy entry 3 word for word.
This entry pairs a crystal structure of VGaTc2 with its simulated powder diffraction line list. Radiation: Cu Kα. Structure: DFT lattice parameters and positions (GGA-PBE).
Peak positions follow from Bragg's law for the DFT cell and can differ from measured ones.

Crystal structure
abc: 6.0929 6.0929 6.0929
angles: 90.00 90.00 90.00
Atoms (fractional coordinates):
V 0.0000 0.0000 0.0000
V 0.0000 0.5000 0.5000
V 0.5000 0.0000 0.5000
V 0.5000 0.5000 0.0000
Ga 0.0000 0.0000 0.5000
Ga 0.0000 0.5000 0.0000
Ga 0.5000 0.0000 0.0000
Ga 0.5000 0.5000 0.5000
Tc 0.2500 0.2500 0.2500
Tc 0.2500 0.2500 0.7500
Tc 0.2500 0.7500 0.2500
Tc 0.2500 0.7500 0.7500
Tc 0.7500 0.2500 0.2500
Tc 0.7500 0.2500 0.7500
Tc 0.7500 0.7500 0.2500
Tc 0.7500 0.7500 0.7500

Top 8 peaks for 10 to 80 degrees two-theta, low angle first:
2θ/deg	I (rel.)
25.32	1
29.32	8
41.94	100
49.62	1
51.99	2
60.81	16
68.92	3
76.61	32

***

- Which formula does entry 6 have?
  Ce4Bi3

***

- Which formula does entry 1 have?
  ZrSn